For LaPt5, DFT lattice parameters and positions (PBE) gives the computed X-ray diffraction stick pattern in this record (CuKα).
Lines closer than 0.1° are merged.

The 8 most intense peaks (2θ from 10° to 90°), by angle:
18.8 deg, I = 36; 38.1 deg, I = 28; 38.7 deg, I = 100; 40.6 deg, I = 35; 43.4 deg, I = 57; 62.6 deg, I = 25; 68.8 deg, I = 22; 83.0 deg, I = 27

Atomic structure:
Lattice parameters (Å, degrees): 5.4569 5.4569 4.4483 90.00 90.00 120.00
Fractional positions:
La  0.0000  0.0000  0.0000
Pt  0.0000  0.5000  0.5000
Pt  0.3333  0.6667  0.0000
Pt  0.5000  0.0000  0.5000
Pt  0.5000  0.5000  0.5000
Pt  0.6667  0.3333  0.0000


For La4C2Br5, DFT lattice parameters and positions (PBE) gives the computed X-ray diffraction stick pattern in this record (CuKα).
Lines closer than 0.1° are merged.

The 8 most intense peaks (2θ from 10° to 90°), by angle:
11.6 deg, I = 19; 26.3 deg, I = 27; 28.8 deg, I = 56; 31.1 deg, I = 100; 35.3 deg, I = 33; 39.3 deg, I = 35; 46.3 deg, I = 33; 54.1 deg, I = 19

Atomic structure:
Lattice parameters (Å, degrees): 10.4007 10.4007 10.4007 157.55 132.57 53.08
Fractional positions:
La  0.1620  0.1620  0.0000
La  0.2042  0.5000  0.7042
La  0.7958  0.5000  0.2958
La  0.8380  0.8380  0.0000
C  0.0381  0.0381  0.0000
C  0.9619  0.9619  0.0000
Br  0.1098  0.3355  0.7743
Br  0.4389  0.6645  0.7743
Br  0.5000  0.0000  0.5000
Br  0.5611  0.3355  0.2257
Br  0.8902  0.6645  0.2257